Diffraction record for Cd4GaHg7. The XRD peak list is theoretical, not measured: it uses a crystal structure in Alexandria, relaxed with GGA-PBE and CuKα.

The 8 most intense peaks (2θ = 15–90°), low angle first:
hkl, d/Å, two_theta, I (rel.)
1 0 4, 2.997, 29.81, 100
0 1 8, 2.132, 42.39, 33
1 1 0, 2.107, 42.93, 39
0 2 4, 1.724, 53.13, 22
2 0 8, 1.499, 61.91, 11
1 1 12, 1.347, 69.82, 12
2 1 4, 1.334, 70.61, 17
1 2 8, 1.221, 78.29, 11

```
data_Cd4GaHg7
_chemical_formula_sum 'Cd4 Ga1 Hg7'
_symmetry_space_group_name_H-M 'P -3 m 1'
_symmetry_Int_Tables_number 164
_symmetry_space_group_name_Hall '-P 3 2"'
_cell_length_a 4.2134
_cell_length_b 4.2134
_cell_length_c 21.0228
_cell_angle_alpha 90.00
_cell_angle_beta 90.00
_cell_angle_gamma 120.00
loop_
_atom_site_label
_atom_site_fract_x
_atom_site_fract_y
_atom_site_fract_z
_atom_site_occupancy
Cd1 0.3333 0.6667 0.1549 1
Cd2 0.3333 0.6667 0.4156 1
Ga1 0.0000 0.0000 0.0000 1
Hg1 0.0000 0.0000 0.2387 1
Hg2 0.0000 0.0000 0.5000 1
Hg3 0.3333 0.6667 0.6719 1
Hg4 0.3333 0.6667 0.9282 1
```



Diffraction record for Sm2As7Pd12. The XRD peak list is theoretical, not measured: it uses a crystal structure in Alexandria, relaxed with GGA-PBE and CuKα.

The 8 most intense peaks (2θ = 15–90°), low angle first:
hkl, d/Å, two_theta, I (rel.)
3 -1 1, 2.583, 34.74, 100
3 0 1, 2.383, 37.74, 11
3 1 1, 2.093, 43.22, 16
0 0 2, 2.066, 43.82, 20
4 1 0, 1.910, 47.60, 24
5 -4 2, 1.402, 66.69, 15
3 -1 3, 1.271, 74.66, 13
8 -3 1, 1.197, 80.18, 11

```
data_Sm2As7Pd12
_chemical_formula_sum 'Sm2 As7 Pd12'
_symmetry_space_group_name_H-M 'P -3'
_symmetry_Int_Tables_number 147
_symmetry_space_group_name_Hall '-P 3'
_cell_length_a 10.1073
_cell_length_b 10.1073
_cell_length_c 4.1320
_cell_angle_alpha 90.00
_cell_angle_beta 90.00
_cell_angle_gamma 120.00
loop_
_atom_site_label
_atom_site_fract_x
_atom_site_fract_y
_atom_site_fract_z
_atom_site_occupancy
Sm1 0.3333 0.6667 0.2482 1
As1 0.0000 0.0000 0.5000 1
As2 0.1177 0.4107 0.7451 1
Pd1 0.0592 0.6214 0.7466 1
Pd2 0.1113 0.8577 0.2287 1
```



Diffraction record for Nd2AlSiRh6. The XRD peak list is theoretical, not measured: it uses a crystal structure in Alexandria, relaxed with GGA-PBE and CuKα.

The 8 most intense peaks (2θ = 15–90°), low angle first:
hkl, d/Å, two_theta, I (rel.)
2 0 2, 2.615, 34.30, 100
2 2 0, 2.264, 39.81, 63
2 2 4, 1.601, 57.55, 35
4 0 0, 1.600, 57.62, 7
4 2 2, 1.365, 68.75, 38
0 4 4, 1.308, 72.22, 7
4 0 4, 1.306, 72.32, 7
4 4 0, 1.132, 85.83, 7

```
data_Nd2AlSiRh6
_chemical_formula_sum 'Nd4 Al2 Si2 Rh12'
_symmetry_space_group_name_H-M 'I m m m'
_symmetry_Int_Tables_number 71
_symmetry_space_group_name_Hall '-I 2 2'
_cell_length_a 6.3985
_cell_length_b 6.4110
_cell_length_c 9.0571
_cell_angle_alpha 90.00
_cell_angle_beta 90.00
_cell_angle_gamma 90.00
loop_
_atom_site_label
_atom_site_fract_x
_atom_site_fract_y
_atom_site_fract_z
_atom_site_occupancy
Nd1 0.0000 0.0000 0.2500 1
Al1 0.0000 0.5000 0.0000 1
Si1 0.0000 0.5000 0.5000 1
Rh1 0.0000 0.5000 0.2539 1
Rh2 0.2461 0.2539 0.5000 1
```



Diffraction record for AlAu3. The XRD peak list is theoretical, not measured: it uses a crystal structure in Alexandria, relaxed with GGA-PBE and CuKα.

The 8 most intense peaks (2θ = 15–90°), low angle first:
hkl, d/Å, two_theta, I (rel.)
1 1 0, 3.066, 29.13, 33
2 0 1, 2.728, 32.83, 27
4 0 -1, 2.428, 37.03, 23
1 1 1, 2.375, 37.88, 100
4 0 0, 2.324, 38.74, 35
2 0 -2, 2.285, 39.44, 48
3 1 -1, 2.232, 40.41, 81
5 1 0, 1.614, 57.08, 20

```
data_AlAu3
_chemical_formula_sum 'Al2 Au6'
_symmetry_space_group_name_H-M 'C 1 2/m 1'
_symmetry_Int_Tables_number 12
_symmetry_space_group_name_Hall '-C 2y'
_cell_length_a 9.9117
_cell_length_b 3.2475
_cell_length_c 4.6053
_cell_angle_alpha 90.00
_cell_angle_beta 110.28
_cell_angle_gamma 90.00
loop_
_atom_site_label
_atom_site_fract_x
_atom_site_fract_y
_atom_site_fract_z
_atom_site_occupancy
Al1 0.0000 0.0000 0.0000 1
Au1 0.0000 0.5000 0.5000 1
Au2 0.2207 0.5000 0.2261 1
```



Diffraction record for HoEr3Ir8. The XRD peak list is theoretical, not measured: it uses a crystal structure in Alexandria, relaxed with GGA-PBE and CuKα.

The 8 most intense peaks (2θ = 15–90°), low angle first:
hkl, d/Å, two_theta, I (rel.)
1 0 3, 2.454, 36.62, 68
1 1 2, 2.276, 39.61, 100
0 2 1, 2.236, 40.34, 98
2 0 2, 2.042, 44.36, 27
2 1 3, 1.497, 61.99, 27
3 0 2, 1.454, 64.06, 25
0 2 5, 1.389, 67.42, 32
2 2 0, 1.336, 70.49, 31

```
data_HoEr3Ir8
_chemical_formula_sum 'Ho1 Er3 Ir8'
_symmetry_space_group_name_H-M 'P 3 m 1'
_symmetry_Int_Tables_number 156
_symmetry_space_group_name_Hall 'P 3 -2"'
_cell_length_a 5.3437
_cell_length_b 5.3437
_cell_length_c 8.6840
_cell_angle_alpha 90.00
_cell_angle_beta 90.00
_cell_angle_gamma 120.00
loop_
_atom_site_label
_atom_site_fract_x
_atom_site_fract_y
_atom_site_fract_z
_atom_site_occupancy
Ho1 0.0000 0.0000 0.0000 1
Er1 0.0000 0.0000 0.3663 1
Er2 0.6667 0.3333 0.4998 1
Er3 0.6667 0.3333 0.8658 1
Ir1 0.1632 0.3264 0.6827 1
Ir2 0.3333 0.6667 0.4329 1
Ir3 0.3333 0.6667 0.9328 1
Ir4 0.5035 0.0070 0.1832 1
```



Diffraction record for Tb5HoIn2. The XRD peak list is theoretical, not measured: it uses a crystal structure in Alexandria, relaxed with GGA-PBE and CuKα.

The 8 most intense peaks (2θ = 15–90°), low angle first:
hkl, d/Å, two_theta, I (rel.)
2 0 1, 2.802, 31.94, 100
2 4 0, 2.429, 37.00, 34
0 0 2, 2.421, 37.14, 17
4 0 0, 1.718, 53.33, 12
2 4 2, 1.715, 53.43, 23
4 4 1, 1.464, 63.53, 28
2 0 3, 1.461, 63.71, 14
4 0 2, 1.401, 66.77, 12

```
data_Tb5HoIn2
_chemical_formula_sum 'Tb10 Ho2 In4'
_symmetry_space_group_name_H-M 'P b a m'
_symmetry_Int_Tables_number 55
_symmetry_space_group_name_Hall '-P 2 2ab'
_cell_length_a 6.8698
_cell_length_b 13.7450
_cell_length_c 4.8417
_cell_angle_alpha 90.00
_cell_angle_beta 90.00
_cell_angle_gamma 90.00
loop_
_atom_site_label
_atom_site_fract_x
_atom_site_fract_y
_atom_site_fract_z
_atom_site_occupancy
Tb1 0.0000 0.0000 0.0000 1
Tb2 0.0005 0.2507 0.0000 1
Tb3 0.2501 0.1246 0.5000 1
Ho1 0.0000 0.5000 0.0000 1
In1 0.2494 0.3753 0.5000 1
```



Diffraction record for Zn5Ni3. The XRD peak list is theoretical, not measured: it uses a crystal structure in Alexandria, relaxed with GGA-PBE and CuKα.

The 8 most intense peaks (2θ = 15–90°), low angle first:
hkl, d/Å, two_theta, I (rel.)
1 -2 0, 2.281, 39.51, 17
1 0 -2, 2.273, 39.65, 33
2 2 2, 2.128, 42.48, 54
2 -1 1, 2.018, 44.93, 33
1 -1 3, 2.009, 45.14, 67
1 3 -1, 2.002, 45.29, 100
1 6 0, 1.115, 87.44, 17
3 1 -3, 1.099, 89.06, 12

```
data_Zn5Ni3
_chemical_formula_sum 'Zn10 Ni6'
_symmetry_space_group_name_H-M 'P -1'
_symmetry_Int_Tables_number 2
_symmetry_space_group_name_Hall '-P 1'
_cell_length_a 5.0192
_cell_length_b 6.7416
_cell_length_c 6.7569
_cell_angle_alpha 84.68
_cell_angle_beta 70.47
_cell_angle_gamma 70.95
loop_
_atom_site_label
_atom_site_fract_x
_atom_site_fract_y
_atom_site_fract_z
_atom_site_occupancy
Zn1 0.0130 0.0910 0.1752 1
Zn2 0.2221 0.7137 0.3084 1
Zn3 0.2509 0.5332 0.9654 1
Zn4 0.2767 0.1918 0.7869 1
Zn5 0.4857 0.3258 0.4097 1
Ni1 0.0128 0.5773 0.6684 1
Ni2 0.2502 0.0399 0.4603 1
Ni3 0.4862 0.8332 0.9234 1
```



Diffraction record for Ac5TeAs4. The XRD peak list is theoretical, not measured: it uses a crystal structure in Alexandria, relaxed with GGA-PBE and CuKα.

The 8 most intense peaks (2θ = 15–90°), low angle first:
hkl, d/Å, two_theta, I (rel.)
0 1 5, 3.755, 23.69, 17
1 1 0, 3.738, 23.81, 18
0 2 0, 3.244, 27.49, 100
1 2 5, 2.295, 39.26, 52
2 0 0, 2.285, 39.43, 13
0 2 10, 1.877, 48.49, 13
2 2 0, 1.869, 48.72, 14
1 4 5, 1.451, 64.17, 24

```
data_Ac5TeAs4
_chemical_formula_sum 'Ac10 Te2 As8'
_symmetry_space_group_name_H-M 'I m m m'
_symmetry_Int_Tables_number 71
_symmetry_space_group_name_Hall '-I 2 2'
_cell_length_a 4.5703
_cell_length_b 6.4953
_cell_length_c 23.0095
_cell_angle_alpha 90.00
_cell_angle_beta 90.00
_cell_angle_gamma 90.00
loop_
_atom_site_label
_atom_site_fract_x
_atom_site_fract_y
_atom_site_fract_z
_atom_site_occupancy
Ac1 0.0000 0.0000 0.0000 1
Ac2 0.0000 0.0000 0.1989 1
Ac3 0.0000 0.0000 0.3904 1
Te1 0.0000 0.5000 0.0000 1
As1 0.0000 0.5000 0.2023 1
As2 0.0000 0.5000 0.4010 1
```



Diffraction record for Ag3H8Ir2. The XRD peak list is theoretical, not measured: it uses a crystal structure in Alexandria, relaxed with GGA-PBE and CuKα.

The 8 most intense peaks (2θ = 15–90°), low angle first:
hkl, d/Å, two_theta, I (rel.)
0 1 0, 4.735, 18.74, 39
1 1 0, 4.208, 21.11, 100
0 0 2, 2.837, 31.53, 74
1 1 2, 2.415, 37.23, 51
0 2 0, 2.368, 38.00, 47
2 0 0, 2.336, 38.53, 46
1 1 -2, 2.296, 39.24, 43
-1 1 2, 2.091, 43.26, 33

```
data_Ag3H8Ir2
_chemical_formula_sum 'Ag3 H8 Ir2'
_symmetry_space_group_name_H-M 'P -1'
_symmetry_Int_Tables_number 2
_symmetry_space_group_name_Hall '-P 1'
_cell_length_a 5.0415
_cell_length_b 5.1297
_cell_length_c 5.7041
_cell_angle_alpha 84.81
_cell_angle_beta 89.93
_cell_angle_gamma 68.05
loop_
_atom_site_label
_atom_site_fract_x
_atom_site_fract_y
_atom_site_fract_z
_atom_site_occupancy
Ag1 0.0000 0.0000 0.0000 1
Ag2 0.0118 0.5194 0.7461 1
H1 0.2965 0.9677 0.5018 1
H2 0.3850 0.3534 0.2429 1
H3 0.3938 0.3618 0.6900 1
H4 0.4293 0.8339 0.0109 1
Ir1 0.4988 0.9970 0.2559 1
```



Diffraction record for PaAg2Pt5. The XRD peak list is theoretical, not measured: it uses a crystal structure in Alexandria, relaxed with GGA-PBE and CuKα.

The 8 most intense peaks (2θ = 15–90°), low angle first:
hkl, d/Å, two_theta, I (rel.)
1 1 4, 2.380, 37.80, 100
2 0 0, 2.080, 43.52, 34
0 0 8, 2.026, 44.74, 16
2 2 0, 1.471, 63.24, 11
2 0 8, 1.451, 64.18, 21
3 1 4, 1.251, 76.09, 26
1 1 12, 1.227, 77.83, 12
2 2 8, 1.190, 80.76, 11

```
data_PaAg2Pt5
_chemical_formula_sum 'Pa2 Ag4 Pt10'
_symmetry_space_group_name_H-M 'I 4/m m m'
_symmetry_Int_Tables_number 139
_symmetry_space_group_name_Hall '-I 4 2'
_cell_length_a 4.1592
_cell_length_b 4.1592
_cell_length_c 16.2056
_cell_angle_alpha 90.00
_cell_angle_beta 90.00
_cell_angle_gamma 90.00
loop_
_atom_site_label
_atom_site_fract_x
_atom_site_fract_y
_atom_site_fract_z
_atom_site_occupancy
Pa1 0.0000 0.0000 0.0000 1
Ag1 0.0000 0.0000 0.2531 1
Pt1 0.0000 0.0000 0.5000 1
Pt2 0.0000 0.5000 0.1228 1
```